Entry 1:
# DyInO3
Simulated powder diffraction line list, CuKα. Input: a PBE-relaxed structure.
Neutral-atom scattering factors, no anomalous dispersion.

Principal peaks in the range 10 to 90 degrees two-theta, by angle:
index	d [Å]	I (rel.)
1 1 0	2.915	100
1 1 1	2.380	5
2 0 0	2.061	29
2 1 1	1.683	40
2 2 0	1.457	18
3 1 0	1.303	17
2 2 2	1.190	6
3 2 1	1.102	21

Structure:
Cell: 4.1217 4.1217 4.1217 Å, 90.00 90.00 90.00°
Space group Pm-3m (No. 221)
Symmetry-distinct sites (fractional):
Dy  0.0000  0.0000  0.0000 (multiplicity 1)
In  0.5000  0.5000  0.5000 (multiplicity 1)
O  0.0000  0.5000  0.5000 (multiplicity 3)

=====

Entry 2:
# DyInO3
Simulated powder diffraction line list, CuKα. Input: a PBE-relaxed structure.
Neutral-atom scattering factors, no anomalous dispersion.

Principal peaks in the range 10 to 90 degrees two-theta, by angle:
index	d [Å]	I (rel.)
1 1 0	3.186	20
0 0 4	3.085	86
1 1 2	2.831	100
3 0 0	1.840	40
1 1 6	1.728	27
3 0 4	1.580	38
0 0 8	1.542	25
3 0 8	1.182	25

Structure:
Cell: 6.3722 6.3722 12.3401 Å, 90.00 90.00 120.00°
Space group P6_3cm (No. 185)
Symmetry-distinct sites (fractional):
Dy  0.0000  0.0000  0.0000 (multiplicity 2)
Dy  0.3333  0.6667  0.4646 (multiplicity 4)
In  0.0000  0.3336  0.2303 (multiplicity 6)
O  0.0000  0.0000  0.1965 (multiplicity 2)
O  0.0000  0.3056  0.4028 (multiplicity 6)
O  0.0000  0.3630  0.0599 (multiplicity 6)
O  0.3333  0.6667  0.2615 (multiplicity 4)

=====

Entry 3:
# DyIn2Pd
Simulated powder diffraction line list, CuKα. Input: a PBE-relaxed structure.
Neutral-atom scattering factors, no anomalous dispersion.

Principal peaks in the range 10 to 90 degrees two-theta, by angle:
index	d [Å]	I (rel.)
4 0 2	2.769	33
3 3 2	2.663	100
4 2 2	2.573	15
3 0 3	2.552	22
3 2 3	2.396	29
6 0 0	2.316	27
4 1 3	2.265	16
1 1 4	2.234	17

Structure:
Cell: 13.8964 13.8964 9.1744 Å, 90.00 90.00 90.00°
Space group I4mm (No. 107)
Symmetry-distinct sites (fractional):
Dy  0.0000  0.0000  0.0000 (multiplicity 2)
Dy  0.0000  0.0000  0.4611 (multiplicity 2)
Dy  0.0000  0.2821  0.0686 (multiplicity 8)
Dy  0.2019  0.2019  0.5798 (multiplicity 8)
In  0.0000  0.1615  0.7375 (multiplicity 8)
In  0.0000  0.3822  0.5920 (multiplicity 8)
In  0.1328  0.1328  0.2312 (multiplicity 8)
In  0.1421  0.3511  0.3310 (multiplicity 16)
Pd  0.0000  0.2133  0.4303 (multiplicity 8)
Pd  0.0000  0.5000  0.3425 (multiplicity 4)
Pd  0.1609  0.1609  0.9231 (multiplicity 8)

=====

Entry 4:
# DyInPd2
Simulated powder diffraction line list, CuKα. Input: a PBE-relaxed structure.
Neutral-atom scattering factors, no anomalous dispersion.

Principal peaks in the range 10 to 90 degrees two-theta, by angle:
index	d [Å]	I (rel.)
1 1 1	3.929	2
2 0 0	3.403	2
2 2 0	2.406	100
3 1 1	2.052	1
4 0 0	1.701	17
4 2 0	1.522	1
4 2 2	1.389	35
4 4 0	1.203	11

Structure:
Cell: 6.8051 6.8051 6.8051 Å, 90.00 90.00 90.00°
Space group Fm-3m (No. 225)
Symmetry-distinct sites (fractional):
Dy  0.0000  0.0000  0.0000 (multiplicity 4)
In  0.0000  0.0000  0.5000 (multiplicity 4)
Pd  0.2500  0.2500  0.2500 (multiplicity 8)

=====

Entry 5:
# Dy2In16Pt7
Simulated powder diffraction line list, CuKα. Input: a PBE-relaxed structure.
Neutral-atom scattering factors, no anomalous dispersion.

Principal peaks in the range 10 to 90 degrees two-theta, by angle:
index	d [Å]	I (rel.)
2 4 0	3.940	31
2 0 1	3.605	30
1 5 1	2.921	24
0 6 1	2.702	25
3 5 1	2.429	89
4 4 1	2.273	100
0 0 2	2.218	57
7 9 0	1.395	38

Structure:
Cell: 12.3727 20.4394 4.4365 Å, 90.00 90.00 90.00°
Space group Cmmm (No. 65)
Symmetry-distinct sites (fractional):
Dy  0.1713  0.0000  0.0000 (multiplicity 4)
In  0.0000  0.0730  0.5000 (multiplicity 4)
In  0.1243  0.1630  0.0000 (multiplicity 8)
In  0.1299  0.3872  0.0000 (multiplicity 8)
In  0.1321  0.5000  0.5000 (multiplicity 4)
In  0.1362  0.2773  0.5000 (multiplicity 8)
Pt  0.0000  0.2760  0.0000 (multiplicity 4)
Pt  0.0000  0.5000  0.0000 (multiplicity 2)
Pt  0.2235  0.1072  0.5000 (multiplicity 8)

=====

Entry 6:
# Dy5In4Pt2
Simulated powder diffraction line list, CuKα. Input: a PBE-relaxed structure.
Neutral-atom scattering factors, no anomalous dispersion.

Principal peaks in the range 10 to 90 degrees two-theta, by angle:
index	d [Å]	I (rel.)
1 4 1	2.686	77
3 2 0	2.616	37
2 2 1	2.602	100
1 7 0	2.497	50
2 3 1	2.480	29
1 5 1	2.460	53
2 6 0	2.451	23
0 0 2	1.811	27

Structure:
Cell: 8.1879 18.3624 3.6221 Å, 90.00 90.00 90.00°
Space group Pbam (No. 55)
Symmetry-distinct sites (fractional):
Dy  0.0000  0.0000  0.0000 (multiplicity 2)
Dy  0.1156  0.4138  0.0000 (multiplicity 4)
Dy  0.2445  0.2203  0.0000 (multiplicity 4)
In  0.0739  0.8513  0.5000 (multiplicity 4)
In  0.2080  0.5674  0.5000 (multiplicity 4)
Pt  0.0253  0.3030  0.5000 (multiplicity 4)

=====

Entry 7:
# DyInRh2
Simulated powder diffraction line list, CuKα. Input: a PBE-relaxed structure.
Neutral-atom scattering factors, no anomalous dispersion.

Principal peaks in the range 10 to 90 degrees two-theta, by angle:
index	d [Å]	I (rel.)
1 1 1	3.841	2
2 0 0	3.327	2
2 2 0	2.352	100
3 1 1	2.006	1
4 0 0	1.663	17
4 2 0	1.488	1
4 2 2	1.358	34
4 4 0	1.176	11

Structure:
Cell: 6.6531 6.6531 6.6531 Å, 90.00 90.00 90.00°
Space group Fm-3m (No. 225)
Symmetry-distinct sites (fractional):
Dy  0.0000  0.0000  0.0000 (multiplicity 4)
In  0.0000  0.0000  0.5000 (multiplicity 4)
Rh  0.2500  0.2500  0.2500 (multiplicity 8)

=====

Entry 8:
# Dy4In5S13
Simulated powder diffraction line list, CuKα. Input: a PBE-relaxed structure.
Neutral-atom scattering factors, no anomalous dispersion.

Principal peaks in the range 10 to 90 degrees two-theta, by angle:
index	d [Å]	I (rel.)
0 6 0	3.587	61
1 2 1	3.483	31
3 3 0	3.466	100
1 3 1	3.275	42
3 1 1	2.745	34
2 7 1	2.231	27
3 9 0	2.047	32
3 3 2	1.690	28

Structure:
Cell: 11.8775 21.5199 3.8715 Å, 90.00 90.00 90.00°
Space group Pbam (No. 55)
Symmetry-distinct sites (fractional):
Dy  0.0151  0.1718  0.0000 (multiplicity 4)
Dy  0.1720  0.3404  0.0000 (multiplicity 4)
In  0.0000  0.5000  0.0000 (multiplicity 2)
In  0.1553  0.9934  0.5000 (multiplicity 4)
In  0.1559  0.6708  0.5000 (multiplicity 4)
S  0.0000  0.0000  0.0000 (multiplicity 2)
S  0.0052  0.4054  0.5000 (multiplicity 4)
S  0.0801  0.2611  0.5000 (multiplicity 4)
S  0.1514  0.8657  0.5000 (multiplicity 4)
S  0.1557  0.1154  0.5000 (multiplicity 4)
S  0.1674  0.7428  0.0000 (multiplicity 4)
S  0.2033  0.4729  0.0000 (multiplicity 4)